This entry pairs a crystal structure of Cs2CoOF6 with its computed powder XRD pattern. Radiation: Cu Kα X-rays. Structure: a cell relaxed with PBE+U.

Atomic structure:
```
data_Cs2CoOF6
_chemical_formula_sum 'Cs4 Co2 O2 F12'
_space_group_name_H-M_alt 'I 4/m m m'
_space_group_IT_number 139
_space_group_name_Hall '-I 4 2'
_cell_length_a 6.2144
_cell_length_b 6.2144
_cell_length_c 9.8669
_cell_angle_alpha 90.00
_cell_angle_beta 90.00
_cell_angle_gamma 90.00
loop_
_atom_site_label
_atom_site_type_symbol
_atom_site_fract_x
_atom_site_fract_y
_atom_site_fract_z
Cs1 Cs 0.0000 0.5000 0.2500
Co1 Co 0.0000 0.0000 0.0000
O1 O 0.0000 0.0000 0.5000
F1 F 0.0000 0.0000 0.1919
F2 F 0.2088 0.2088 0.0000
```

Main lines, sorted by position (2θ = 15–90°):
d (Å), Position (°2θ), Rel. int.
5.258, 16.86, 21
3.281, 27.18, 100
3.107, 28.73, 42
2.629, 34.10, 43
2.467, 36.42, 20
2.197, 41.08, 31
1.826, 49.96, 32
1.641, 56.05, 20